Starting from DFT lattice parameters and positions (GGA-PBE), the XRD peak list of La4TbPm was simulated for Cu Kα (weighted mean of Kα1 and Kα2).
Neutral-atom scattering factors, no anomalous dispersion.

Top 8 peaks for 2θ = 5–70°, sorted by position:
29.65°, I = 100, (1 1 0)
34.17°, I = 17, (0 2 0)
34.47°, I = 33, (1 0 3)
49.32°, I = 24, (1 2 3)
49.55°, I = 12, (2 0 0)
58.41°, I = 15, (1 3 0)
58.81°, I = 29, (2 1 3)
61.53°, I = 6, (2 2 0)

Structure:
abc: 3.6819 5.2485 11.0300
angles: 90.00 90.00 90.00
Space group Pmmm (No. 47)
One atom of each set of equivalent atoms:
1 La 0.0000 0.0000 0.1681 x2
2 La 0.5000 0.5000 0.3285 x2
3 Tb 0.5000 0.5000 0.0000 x1
4 Pm 0.0000 0.0000 0.5000 x1

Starting from DFT lattice parameters and positions (GGA-PBE), the XRD peak list of La4Tb4Pm was simulated for Cu Kα (weighted mean of Kα1 and Kα2).
Neutral-atom scattering factors, no anomalous dispersion.

Top 8 peaks for 2θ = 5–70°, sorted by position:
29.93°, I = 100, (3 0 1)
34.58°, I = 17, (0 0 2)
34.76°, I = 34, (3 3 0)
49.84°, I = 24, (3 3 2)
49.97°, I = 12, (6 0 0)
59.12°, I = 15, (3 0 3)
59.35°, I = 29, (6 3 1)
62.19°, I = 12, (6 0 2)

Structure:
abc: 10.9506 10.9506 5.1877
angles: 90.00 90.00 90.00
Space group I4/mmm (No. 139)
One atom of each set of equivalent atoms:
1 La 0.0000 0.3310 0.0000 x8
2 Tb 0.1651 0.1651 0.5000 x8
3 Pm 0.0000 0.0000 0.0000 x2

Starting from DFT lattice parameters and positions (GGA-PBE), the XRD peak list of La11Tb9Pm4 was simulated for Cu Kα (weighted mean of Kα1 and Kα2).
Neutral-atom scattering factors, no anomalous dispersion.

Top 8 peaks for 2θ = 5–70°, sorted by position:
29.19°, I = 54, (4 6 0)
29.38°, I = 25, (2 4 1)
30.27°, I = 17, (3 3 1)
31.38°, I = 14, (1 9 0)
31.59°, I = 100, (4 0 1)
31.84°, I = 10, (6 2 0)
48.59°, I = 15, (0 0 2)
57.70°, I = 17, (4 6 2)

Structure:
abc: 17.2728 26.0154 3.7469
angles: 90.00 90.00 90.00
Space group Cmmm (No. 65)
One atom of each set of equivalent atoms:
1 La 0.0000 0.0000 0.0000 x2
2 La 0.0000 0.1587 0.0000 x4
3 La 0.0000 0.3675 0.0000 x4
4 La 0.2082 0.5000 0.0000 x4
5 La 0.2251 0.1807 0.0000 x8
6 Tb 0.0000 0.5000 0.5000 x2
7 Tb 0.1011 0.2654 0.5000 x8
8 Tb 0.1393 0.0725 0.5000 x8
9 Pm 0.1558 0.3990 0.5000 x8

Starting from DFT lattice parameters and positions (GGA-PBE), the XRD peak list of La4Tb4Pm5 was simulated for Cu Kα (weighted mean of Kα1 and Kα2).
Neutral-atom scattering factors, no anomalous dispersion.

Top 5 peaks for 2θ = 5–70°, sorted by position:
29.93°, I = 100, (2 3 1)
34.70°, I = 51, (0 0 2)
49.88°, I = 36, (5 1 2)
59.27°, I = 43, (2 3 3)
62.19°, I = 12, (4 6 2)

Structure:
abc: 13.1763 13.1763 5.1762
angles: 90.00 90.00 90.00
Space group I4/m (No. 87)
One atom of each set of equivalent atoms:
1 La 0.0776 0.6174 0.0000 x8
2 Tb 0.1535 0.2304 0.0000 x8
3 Pm 0.0000 0.0000 0.0000 x2
4 Pm 0.0409 0.8102 0.5000 x8

Starting from DFT lattice parameters and positions (GGA-PBE), the XRD peak list of La9Tb3Pm2 was simulated for Cu Kα (weighted mean of Kα1 and Kα2).
Neutral-atom scattering factors, no anomalous dispersion.

Top 8 peaks for 2θ = 5–70°, sorted by position:
25.48°, I = 32, (0 0 4)
25.99°, I = 30, (2 0 2)
29.72°, I = 100, (2 0 3)
30.74°, I = 90, (1 2 1)
32.32°, I = 32, (1 1 4)
32.73°, I = 67, (2 1 2)
34.03°, I = 29, (1 0 5)
53.25°, I = 33, (1 3 5)

Structure:
abc: 9.0840 9.0840 13.9813
angles: 90.00 90.00 120.00
Space group P6_3/m (No. 176)
One atom of each set of equivalent atoms:
1 La 0.0771 0.5456 0.2500 x6
2 La 0.1297 0.7593 0.0428 x12
3 Tb 0.1027 0.8537 0.7500 x6
4 Pm 0.3333 0.6667 0.6353 x4

Starting from DFT lattice parameters and positions (GGA-PBE), the XRD peak list of LaTb4Pm was simulated for Cu Kα (weighted mean of Kα1 and Kα2).
Neutral-atom scattering factors, no anomalous dispersion.

Top 8 peaks for 2θ = 5–70°, sorted by position:
30.96°, I = 100, (2 0 0)
31.05°, I = 49, (1 2 1)
31.23°, I = 51, (0 2 2)
31.48°, I = 52, (1 0 -3)
31.64°, I = 52, (1 0 3)
44.45°, I = 18, (2 2 -2)
44.62°, I = 18, (2 2 2)
61.82°, I = 30, (1 4 3)

Structure:
abc: 5.7810 7.0764 9.7579
angles: 90.00 90.34 90.00
Space group P2_1/m (No. 11)
One atom of each set of equivalent atoms:
1 La 0.2172 0.2500 0.4194 x2
2 Tb 0.2521 0.0018 0.7548 x4
3 Tb 0.2768 0.2500 0.0807 x2
4 Tb 0.2775 0.7500 0.4161 x2
5 Pm 0.2225 0.7500 0.0825 x2

Starting from DFT lattice parameters and positions (GGA-PBE), the XRD peak list of LaTb9Pm2 was simulated for Cu Kα (weighted mean of Kα1 and Kα2).
Neutral-atom scattering factors, no anomalous dispersion.

Top 5 peaks for 2θ = 5–70°, sorted by position:
30.48°, I = 100, (1 1 3)
35.33°, I = 51, (2 0 0)
50.83°, I = 36, (2 2 0)
60.43°, I = 43, (3 1 3)
63.42°, I = 12, (2 2 6)

Structure:
abc: 5.0800 5.0800 15.2442
angles: 90.00 90.00 90.00
Space group P4/mmm (No. 123)
One atom of each set of equivalent atoms:
1 La 0.0000 0.0000 0.0000 x1
2 Tb 0.0000 0.5000 0.1686 x4
3 Tb 0.0000 0.5000 0.5000 x2
4 Tb 0.5000 0.5000 0.0000 x1
5 Tb 0.5000 0.5000 0.3346 x2
6 Pm 0.0000 0.0000 0.3335 x2

Starting from DFT lattice parameters and positions (GGA-PBE), the XRD peak list of La2Tb2Pm7 was simulated for Cu Kα (weighted mean of Kα1 and Kα2).
Neutral-atom scattering factors, no anomalous dispersion.

Top 8 peaks for 2θ = 5–70°, sorted by position:
25.47°, I = 35, (0 5 1)
29.23°, I = 39, (0 6 0)
29.38°, I = 72, (1 1 2)
30.68°, I = 58, (0 0 4)
32.37°, I = 56, (1 4 1)
32.53°, I = 100, (1 3 2)
33.61°, I = 33, (0 5 3)
55.72°, I = 40, (1 3 6)

Structure:
abc: 3.6322 18.3324 11.6579
angles: 90.00 90.00 90.00
Space group Imm2 (No. 44)
One atom of each set of equivalent atoms:
1 La 0.0000 0.2064 0.0000 x4
2 Tb 0.0000 0.0000 0.2680 x2
3 Tb 0.0000 0.5000 0.1736 x2
4 Pm 0.0000 0.0000 0.9549 x2
5 Pm 0.0000 0.1210 0.4987 x4
6 Pm 0.0000 0.3304 0.2541 x4
7 Pm 0.0000 0.3392 0.7393 x4